1.
Starting from a cell relaxed with PBE, the powder diffractogram of CaMg5 was simulated for a wavelength of 1.5418 Å.
Neutral-atom scattering factors, no anomalous dispersion.

Cell: 4.626 13.731 4.851 Å, 90.00 90.00 90.00°
Space group Cmmm (No. 65)
Unique sites:
Ca 0.000 0.000 0.000 (multiplicity 2)
Mg 0.000 0.170 0.500 (multiplicity 4)
Mg 0.000 0.324 0.000 (multiplicity 4)
Mg 0.000 0.500 0.500 (multiplicity 2)

Main lines, by intensity (2θ from 15° to 90°):
hkl	2θ/deg	intensity
1 3 1	33.2	100
0 0 2	37.1	18
2 0 0	38.9	16
0 6 0	39.4	15
1 3 3	64.3	14
3 3 1	66.9	12

***

2.
Starting from a cell relaxed with PBE, the powder diffractogram of Ca2Mg7 was simulated for a wavelength of 1.5418 Å.
Neutral-atom scattering factors, no anomalous dispersion.

Cell: 6.1572 6.1572 44.7973 Å, 90.00 90.00 120.00°
Space group R-3m (No. 166, hexagonal axes)
Unique sites:
Ca 0.0000 0.0000 0.0554 (multiplicity 6)
Ca 0.0000 0.0000 0.1513 (multiplicity 6)
Mg 0.0000 0.0000 0.2779 (multiplicity 6)
Mg 0.0000 0.0000 0.3889 (multiplicity 6)
Mg 0.0000 0.0000 0.5000 (multiplicity 3)
Mg 0.0000 0.5000 0.0000 (multiplicity 9)
Mg 0.0029 0.5014 0.8888 (multiplicity 18)

Main lines, by intensity (2θ from 15° to 90°):
hkl	2θ/deg	intensity
1 1 9	34.2	100
1 1 0	29.0	33
0 2 1	33.7	27
3 0 9	54.8	24
0 0 18	36.1	22
1 0 10	26.0	21

***

3.
Starting from a cell relaxed with PBE, the powder diffractogram of Ca5Mg6 was simulated for a wavelength of 1.5418 Å.
Neutral-atom scattering factors, no anomalous dispersion.

Cell: 5.544 6.574 9.617 Å, 89.41 73.58 89.74°
Space group P-1 (No. 2)
Unique sites:
Ca 0.000 0.000 0.000 (multiplicity 1)
Ca 0.262 0.327 0.475 (multiplicity 2)
Ca 0.370 0.825 0.259 (multiplicity 2)
Mg 0.088 0.479 0.830 (multiplicity 2)
Mg 0.178 0.875 0.646 (multiplicity 2)
Mg 0.445 0.307 0.105 (multiplicity 2)

Main lines, by intensity (2θ from 15° to 90°):
hkl	2θ/deg	intensity
-1 1 2	32.0	100
2 0 1	32.3	100
1 1 3	32.1	99
-3 1 1	57.3	30
0 2 5	57.0	28
3 1 4	57.5	23

***

4.
Starting from a cell relaxed with PBE, the powder diffractogram of CaMgMn2 was simulated for a wavelength of 1.5418 Å.
Neutral-atom scattering factors, no anomalous dispersion.

Cell: 3.241 3.256 7.789 Å, 90.00 90.00 90.00°
Space group Pmm2 (No. 25)
Unique sites:
Ca 0.000 0.000 0.000 (multiplicity 1)
Mg 0.500 0.500 0.659 (multiplicity 1)
Mn 0.000 0.000 0.414 (multiplicity 1)
Mn 0.500 0.500 0.295 (multiplicity 1)

Main lines, by intensity (2θ from 15° to 90°):
hkl	2θ/deg	intensity
1 1 0	39.2	100
0 1 2	36.0	71
1 0 2	36.1	70
1 0 3	44.7	41
1 1 3	53.2	31
0 0 3	34.5	29

***

5.
Starting from a cell relaxed with PBE, the powder diffractogram of CaMgMn3 was simulated for a wavelength of 1.5418 Å.
Neutral-atom scattering factors, no anomalous dispersion.

Cell: 4.897 4.897 4.897 Å, 90.00 90.00 90.00°
Space group Pm-3m (No. 221)
Unique sites:
Ca 0.000 0.000 0.000 (multiplicity 1)
Mg 0.500 0.500 0.500 (multiplicity 1)
Mn 0.000 0.500 0.500 (multiplicity 3)

Main lines, by intensity (2θ from 15° to 90°):
hkl	2θ/deg	intensity
1 1 1	31.6	100
2 0 0	36.7	80
2 2 0	52.9	52
3 1 1	62.9	35
4 2 0	89.5	20
2 2 2	66.1	16